# 1
This entry pairs a crystal structure of Dy4PaN4 with its calculated XRD peak list. Radiation: Cu Kα (λ = 1.5418 Å). Structure: the GGA-PBE geometry in Alexandria.

Crystal structure
```
data_Dy4PaN4
_chemical_formula_sum 'Dy8 Pa2 N8'
_symmetry_space_group_name_H-M 'I 4/m'
_symmetry_Int_Tables_number 87
_symmetry_space_group_name_Hall '-I 4'
_cell_length_a 7.776
_cell_length_b 7.776
_cell_length_c 4.952
_cell_angle_alpha 90.00
_cell_angle_beta 90.00
_cell_angle_gamma 90.00
loop_
_atom_site_label
_atom_site_type_symbol
_atom_site_fract_x
_atom_site_fract_y
_atom_site_fract_z
Dy1 Dy 0.103 0.691 0.000
Pa1 Pa 0.000 0.000 0.500
N1 N 0.092 0.714 0.500
```

Peak list (6 most intense, 10 to 90 degrees two-theta, most intense first)
d [Å], I/Imax
2.846, 100
2.459, 43
1.745, 31
1.484, 29
2.476, 22
1.423, 15



# 2
This entry pairs a crystal structure of Sm2PuVN4 with its calculated XRD peak list. Radiation: Cu Kα (λ = 1.5418 Å). Structure: the GGA-PBE geometry in Alexandria.

Crystal structure
```
data_Sm2PuVN4
_chemical_formula_sum 'Sm8 Pu4 V4 N16'
_symmetry_space_group_name_H-M 'C m c m'
_symmetry_Int_Tables_number 63
_symmetry_space_group_name_Hall '-C 2c 2'
_cell_length_a 3.420
_cell_length_b 11.792
_cell_length_c 12.076
_cell_angle_alpha 90.00
_cell_angle_beta 90.00
_cell_angle_gamma 90.00
loop_
_atom_site_label
_atom_site_type_symbol
_atom_site_fract_x
_atom_site_fract_y
_atom_site_fract_z
Sm1 Sm 0.000 0.131 0.041
Pu1 Pu 0.000 0.404 0.250
V1 V 0.000 0.330 0.750
N1 N 0.000 0.082 0.250
N2 N 0.000 0.232 0.633
N3 N 0.000 0.500 0.000
```

Peak list (6 most intense, 10 to 90 degrees two-theta, most intense first)
d [Å], I/Imax
2.886, 100
3.324, 73
2.373, 50
2.523, 50
2.948, 41
3.019, 40



# 3
This entry pairs a crystal structure of NpInAg2I6 with its calculated XRD peak list. Radiation: Cu Kα (λ = 1.5418 Å). Structure: the GGA-PBE geometry in Alexandria.

Crystal structure
```
data_NpInAg2I6
_chemical_formula_sum 'Np3 In3 Ag6 I18'
_symmetry_space_group_name_H-M 'R -3'
_symmetry_Int_Tables_number 148
_symmetry_space_group_name_Hall '-R 3'
_cell_length_a 8.0267
_cell_length_b 8.0267
_cell_length_c 23.9402
_cell_angle_alpha 90.00
_cell_angle_beta 90.00
_cell_angle_gamma 120.00
loop_
_atom_site_label
_atom_site_type_symbol
_atom_site_fract_x
_atom_site_fract_y
_atom_site_fract_z
Np1 Np 0.0000 0.0000 0.0000
In1 In 0.0000 0.0000 0.5000
Ag1 Ag 0.0000 0.0000 0.2641
I1 I 0.0003 0.3116 0.0784
```

Peak list (6 most intense, 10 to 90 degrees two-theta, most intense first)
d [Å], I/Imax
3.585, 100
2.317, 59
4.536, 59
2.830, 35
2.406, 28
3.006, 27



# 4
This entry pairs a crystal structure of Cs5Zn2Au5 with its calculated XRD peak list. Radiation: Cu Kα (λ = 1.5418 Å). Structure: the GGA-PBE geometry in Alexandria.

Crystal structure
```
data_Cs5Zn2Au5
_chemical_formula_sum 'Cs10 Zn4 Au10'
_symmetry_space_group_name_H-M 'C 1 2/m 1'
_symmetry_Int_Tables_number 12
_cell_length_a 17.515
_cell_length_b 4.637
_cell_length_c 13.224
_cell_angle_alpha 90.00
_cell_angle_beta 121.98
_cell_angle_gamma 90.00
loop_
_symmetry_equiv_pos_as_xyz
'x,y,z'
'-x,-y,-z'
'-x,y,-z'
'x,-y,z'
'x+1/2,y+1/2,z'
'-x+1/2,-y+1/2,-z'
'-x+1/2,y+1/2,-z'
'x+1/2,-y+1/2,z'
loop_
_atom_site_label
_atom_site_type_symbol
_atom_site_fract_x
_atom_site_fract_y
_atom_site_fract_z
Cs1 Cs 0.000 0.000 0.000
Cs2 Cs 0.135 0.500 0.832
Cs3 Cs 0.189 0.500 0.589
Zn1 Zn 0.102 0.500 0.275
Au1 Au 0.000 0.000 0.500
Au2 Au 0.059 0.000 0.335
Au3 Au 0.186 0.500 0.154
```

Peak list (6 most intense, 10 to 90 degrees two-theta, most intense first)
d [Å], I/Imax
3.385, 100
2.502, 44
3.235, 34
2.319, 30
2.539, 27
3.108, 27



# 5
This entry pairs a crystal structure of Ac3BiN with its calculated XRD peak list. Radiation: Cu Kα (λ = 1.5418 Å). Structure: the GGA-PBE geometry in Alexandria.

Crystal structure
```
data_Ac3BiN
_chemical_formula_sum 'Ac12 Bi4 N4'
_symmetry_space_group_name_H-M 'C m c m'
_symmetry_Int_Tables_number 63
_symmetry_space_group_name_Hall '-C 2c 2'
_cell_length_a 5.079
_cell_length_b 26.610
_cell_length_c 5.070
_cell_angle_alpha 90.00
_cell_angle_beta 90.00
_cell_angle_gamma 90.00
loop_
_atom_site_label
_atom_site_type_symbol
_atom_site_fract_x
_atom_site_fract_y
_atom_site_fract_z
Ac1 Ac 0.000 0.069 0.250
Ac2 Ac 0.000 0.311 0.750
Ac3 Ac 0.000 0.426 0.250
Bi1 Bi 0.000 0.175 0.750
N1 N 0.000 0.402 0.750
```

Peak list (6 most intense, 10 to 90 degrees two-theta, most intense first)
d [Å], I/Imax
3.327, 100
2.975, 54
2.537, 43
1.579, 32
2.019, 18
2.609, 18



# 6
This entry pairs a crystal structure of Ac4Ir2Rh with its calculated XRD peak list. Radiation: Cu Kα (λ = 1.5418 Å). Structure: the GGA-PBE geometry in Alexandria.

Crystal structure
```
data_Ac4Ir2Rh
_chemical_formula_sum 'Ac16 Ir8 Rh4'
_symmetry_space_group_name_H-M 'I 21 21 21'
_symmetry_Int_Tables_number 24
_cell_length_a 8.934
_cell_length_b 9.777
_cell_length_c 10.319
_cell_angle_alpha 90.00
_cell_angle_beta 90.00
_cell_angle_gamma 90.00
loop_
_symmetry_equiv_pos_as_xyz
'x,y,z'
'-x,-y+1/2,z'
'x,-y,-z+1/2'
'-x,y+1/2,-z+1/2'
'x+1/2,y+1/2,z+1/2'
'-x+1/2,-y,z+1/2'
'x+1/2,-y+1/2,-z'
'-x+1/2,y,-z'
loop_
_atom_site_label
_atom_site_type_symbol
_atom_site_fract_x
_atom_site_fract_y
_atom_site_fract_z
Ac1 Ac 0.001 0.050 0.474
Ac2 Ac 0.211 0.251 0.792
Ir1 Ir 0.002 0.000 0.750
Ir2 Ir 0.250 0.251 0.500
Rh1 Rh 0.000 0.250 0.044
```

Peak list (6 most intense, 10 to 90 degrees two-theta, most intense first)
d [Å], I/Imax
3.298, 100
2.091, 40
2.032, 34
2.551, 29
3.245, 28
3.210, 27



# 7
This entry pairs a crystal structure of Ac4TbSe6 with its calculated XRD peak list. Radiation: Cu Kα (λ = 1.5418 Å). Structure: the GGA-PBE geometry in Alexandria.

Crystal structure
```
data_Ac4TbSe6
_chemical_formula_sum 'Ac24 Tb6 Se36'
_symmetry_space_group_name_H-M 'R -3 c'
_symmetry_Int_Tables_number 167
_symmetry_space_group_name_Hall '-R 3 2"c'
_cell_length_a 12.3204
_cell_length_b 12.3204
_cell_length_c 14.9235
_cell_angle_alpha 90.00
_cell_angle_beta 90.00
_cell_angle_gamma 120.00
loop_
_atom_site_label
_atom_site_type_symbol
_atom_site_fract_x
_atom_site_fract_y
_atom_site_fract_z
Ac1 Ac 0.0000 0.0000 0.2500
Ac2 Ac 0.0000 0.3800 0.2500
Tb1 Tb 0.0000 0.0000 0.0000
Se1 Se 0.0287 0.2008 0.3896
```

Peak list (6 most intense, 10 to 90 degrees two-theta, most intense first)
d [Å], I/Imax
3.556, 100
2.619, 80
2.903, 63
2.739, 59
3.870, 57
3.057, 50



# 8
This entry pairs a crystal structure of Na2Co3S6 with its calculated XRD peak list. Radiation: Cu Kα (λ = 1.5418 Å). Structure: the GGA-PBE geometry in Alexandria.

Crystal structure
```
data_Na2Co3S6
_chemical_formula_sum 'Na4 Co6 S12'
_symmetry_space_group_name_H-M 'C 1 2/m 1'
_symmetry_Int_Tables_number 12
_cell_length_a 5.856
_cell_length_b 10.143
_cell_length_c 6.827
_cell_angle_alpha 90.00
_cell_angle_beta 106.60
_cell_angle_gamma 90.00
loop_
_symmetry_equiv_pos_as_xyz
'x,y,z'
'-x,-y,-z'
'-x,y,-z'
'x,-y,z'
'x+1/2,y+1/2,z'
'-x+1/2,-y+1/2,-z'
'-x+1/2,y+1/2,-z'
'x+1/2,-y+1/2,z'
loop_
_atom_site_label
_atom_site_type_symbol
_atom_site_fract_x
_atom_site_fract_y
_atom_site_fract_z
Na1 Na 0.000 0.167 0.000
Co1 Co 0.000 0.000 0.500
Co2 Co 0.000 0.334 0.500
S1 S 0.225 0.167 0.676
S2 S 0.227 0.500 0.679
```

Peak list (6 most intense, 10 to 90 degrees two-theta, most intense first)
d [Å], I/Imax
6.542, 100
2.514, 78
1.691, 25
2.025, 24
1.881, 18
1.637, 14



# 9
This entry pairs a crystal structure of PrNdBeN2 with its calculated XRD peak list. Radiation: Cu Kα (λ = 1.5418 Å). Structure: the GGA-PBE geometry in Alexandria.

Crystal structure
```
data_PrNdBeN2
_chemical_formula_sum 'Pr2 Nd2 Be2 N4'
_symmetry_space_group_name_H-M 'P c c m'
_symmetry_Int_Tables_number 49
_cell_length_a 5.154
_cell_length_b 5.197
_cell_length_c 6.906
_cell_angle_alpha 90.00
_cell_angle_beta 90.00
_cell_angle_gamma 90.00
loop_
_symmetry_equiv_pos_as_xyz
'x,y,z'
'-x,-y,-z'
'-x,-y,z'
'x,y,-z'
'x,-y,-z+1/2'
'-x,y,z+1/2'
'-x,y,-z+1/2'
'x,-y,z+1/2'
loop_
_atom_site_label
_atom_site_type_symbol
_atom_site_fract_x
_atom_site_fract_y
_atom_site_fract_z
Pr1 Pr 0.000 0.000 0.250
Nd1 Nd 0.500 0.500 0.250
Be1 Be 0.000 0.500 0.000
N1 N 0.216 0.290 0.000
```

Peak list (6 most intense, 10 to 90 degrees two-theta, most intense first)
d [Å], I/Imax
3.660, 100
2.511, 82
3.453, 35
2.076, 25
2.065, 25
2.598, 19



# 10
This entry pairs a crystal structure of NbVCu with its calculated XRD peak list. Radiation: Cu Kα (λ = 1.5418 Å). Structure: the GGA-PBE geometry in Alexandria.

Crystal structure
```
data_NbVCu
_chemical_formula_sum 'Nb2 V2 Cu2'
_symmetry_space_group_name_H-M 'P 1 21/m 1'
_symmetry_Int_Tables_number 11
_cell_length_a 2.681
_cell_length_b 4.330
_cell_length_c 7.594
_cell_angle_alpha 90.00
_cell_angle_beta 92.00
_cell_angle_gamma 90.00
loop_
_symmetry_equiv_pos_as_xyz
'x,y,z'
'-x,-y,-z'
'-x,y+1/2,-z'
'x,-y+1/2,z'
loop_
_atom_site_label
_atom_site_type_symbol
_atom_site_fract_x
_atom_site_fract_y
_atom_site_fract_z
Nb1 Nb 0.003 0.250 0.234
V1 V 0.339 0.750 0.432
Cu1 Cu 0.459 0.250 0.909
```

Peak list (6 most intense, 10 to 90 degrees two-theta, most intense first)
d [Å], I/Imax
2.165, 100
2.184, 72
2.226, 31
1.552, 19
2.200, 14
1.250, 12



# 11
This entry pairs a crystal structure of CoNi2H4 with its calculated XRD peak list. Radiation: Cu Kα (λ = 1.5418 Å). Structure: the GGA-PBE geometry in Alexandria.

Crystal structure
```
data_CoNi2H4
_chemical_formula_sum 'Co2 Ni4 H8'
_symmetry_space_group_name_H-M 'P b a m'
_symmetry_Int_Tables_number 55
_cell_length_a 4.523
_cell_length_b 7.294
_cell_length_c 2.606
_cell_angle_alpha 90.00
_cell_angle_beta 90.00
_cell_angle_gamma 90.00
loop_
_symmetry_equiv_pos_as_xyz
'x,y,z'
'-x,-y,-z'
'-x,-y,z'
'x,y,-z'
'x+1/2,-y+1/2,-z'
'-x+1/2,y+1/2,z'
'-x+1/2,y+1/2,-z'
'x+1/2,-y+1/2,z'
loop_
_atom_site_label
_atom_site_type_symbol
_atom_site_fract_x
_atom_site_fract_y
_atom_site_fract_z
Co1 Co 0.000 0.000 0.000
Ni1 Ni 0.074 0.326 0.500
H1 H 0.144 0.782 0.000
H2 H 0.250 0.037 0.500
```

Peak list (6 most intense, 10 to 90 degrees two-theta, most intense first)
d [Å], I/Imax
2.158, 100
2.141, 87
2.120, 48
2.261, 31
1.547, 22
1.663, 21



# 12
This entry pairs a crystal structure of YErGaNi with its calculated XRD peak list. Radiation: Cu Kα (λ = 1.5418 Å). Structure: the GGA-PBE geometry in Alexandria.

Crystal structure
```
data_YErGaNi
_chemical_formula_sum 'Y2 Er2 Ga2 Ni2'
_symmetry_space_group_name_H-M 'A m m 2'
_symmetry_Int_Tables_number 38
_cell_length_a 4.320
_cell_length_b 3.716
_cell_length_c 10.837
_cell_angle_alpha 90.00
_cell_angle_beta 90.00
_cell_angle_gamma 90.00
loop_
_symmetry_equiv_pos_as_xyz
'x,y,z'
'-x,-y,z'
'-x,y,z'
'x,-y,z'
'x,y+1/2,z+1/2'
'-x,-y+1/2,z+1/2'
'-x,y+1/2,z+1/2'
'x,-y+1/2,z+1/2'
loop_
_atom_site_label
_atom_site_type_symbol
_atom_site_fract_x
_atom_site_fract_y
_atom_site_fract_z
Y1 Y 0.000 0.000 0.000
Er1 Er 0.500 0.000 0.715
Ga1 Ga 0.500 0.000 0.427
Ni1 Ni 0.000 0.000 0.288
```

Peak list (6 most intense, 10 to 90 degrees two-theta, most intense first)
d [Å], I/Imax
2.726, 100
2.221, 54
2.590, 46
2.160, 29
2.295, 29
3.378, 27